Diffraction record for Rb2VInS4. The powder diffractogram is computed, not measured: it uses a crystal structure in Alexandria, relaxed with PBE and CuKα.

Largest 10 diffraction maxima, in order of rising 2θ, 2θ = 5–70°:
2θ 14.6, I 43
2θ 14.9, I 59
2θ 24.2, I 46
2θ 25.8, I 100
2θ 26.4, I 48
2θ 30.5, I 82
2θ 31.8, I 56
2θ 37.1, I 59
2θ 44.9, I 49
2θ 48.9, I 41

Cell and atoms:
```
16
Lattice="0.000 7.034 11.870 3.070 0.000 11.870 3.070 7.034 0.000" Properties=species:S:1:pos:R:3 pbc="T T T"
Rb 2.302 5.276 1.304
Rb 3.837 8.793 7.239
Rb 2.302 5.276 16.500
Rb 3.837 8.793 22.435
V 2.302 5.276 8.902
V 3.837 8.793 14.837
In 0.767 1.759 2.967
In 5.372 12.310 20.772
S 2.417 3.108 4.226
S 3.722 6.625 10.161
S 2.187 7.443 4.226
S 2.187 3.108 13.578
S 3.952 10.961 10.161
S 3.952 6.625 19.513
S 2.417 7.443 13.578
S 3.722 10.961 19.513
```

---

Diffraction record for PrZrIrO6. The powder diffractogram is computed, not measured: it uses a crystal structure in Alexandria, relaxed with PBE and CuKα.

Largest 10 diffraction maxima, in order of rising 2θ, 2θ = 5–70°:
2θ 17.1, I 14
2θ 20.9, I 15
2θ 25.7, I 100
2θ 33.3, I 44
2θ 37.7, I 11
2θ 42.6, I 25
2θ 48.8, I 46
2θ 55.1, I 24
2θ 56.9, I 11
2θ 59.5, I 15

Cell and atoms:
```
18
Lattice="5.378 0.000 0.000 -2.689 4.658 0.000 0.000 0.000 10.354" Properties=species:S:1:pos:R:3 pbc="T T T"
Pr 0.000 0.000 0.000
Pr 0.000 0.000 5.177
Zr 0.000 3.105 2.588
Zr 2.689 1.553 7.765
Ir 0.000 3.105 7.765
Ir 2.689 1.553 2.588
O -0.891 1.713 6.646
O -1.651 3.030 8.885
O 0.891 1.713 8.885
O -0.760 4.573 6.646
O 1.929 0.085 1.469
O 1.038 1.628 3.708
O 1.651 3.030 6.646
O 0.760 4.573 8.885
O 3.450 0.085 3.708
O 1.799 2.945 1.469
O 4.340 1.628 1.469
O 3.580 2.945 3.708
```

---

Diffraction record for CsK2TcI8. The powder diffractogram is computed, not measured: it uses a crystal structure in Alexandria, relaxed with PBE and CuKα.

Largest 10 diffraction maxima, in order of rising 2θ, 2θ = 5–70°:
2θ 14.3, I 56
2θ 24.1, I 100
2θ 26.0, I 63
2θ 26.5, I 55
2θ 27.1, I 69
2θ 29.1, I 59
2θ 29.5, I 89
2θ 29.6, I 57
2θ 29.8, I 82
2θ 43.2, I 93

Cell and atoms:
```
12
Lattice="6.660 0.000 0.000 0.145 7.950 0.000 3.119 -0.017 9.859" Properties=species:S:1:pos:R:3 pbc="T T T"
Cs 0.000 0.000 0.000
K 3.140 3.894 3.163
K 6.785 4.039 6.696
Tc 1.560 -0.008 4.930
I 3.114 1.908 6.154
I 3.244 5.973 6.099
I 4.843 3.955 9.789
I 3.138 0.017 2.667
I 6.787 7.916 7.192
I 5.082 3.977 0.070
I 6.681 1.959 3.760
I 6.811 6.025 3.705
```

---

Diffraction record for Pr2SmRh. The powder diffractogram is computed, not measured: it uses a crystal structure in Alexandria, relaxed with PBE and CuKα.

Largest 10 diffraction maxima, in order of rising 2θ, 2θ = 5–70°:
2θ 29.3, I 37
2θ 30.0, I 100
2θ 30.2, I 23
2θ 31.5, I 59
2θ 32.4, I 42
2θ 33.2, I 48
2θ 35.2, I 22
2θ 36.2, I 24
2θ 39.3, I 22
2θ 47.5, I 23

Cell and atoms:
```
16
Lattice="7.356 0.000 0.000 0.000 10.061 0.000 0.000 0.000 6.466" Properties=species:S:1:pos:R:3 pbc="T T T"
Pr 1.297 0.667 1.093
Pr 1.297 4.364 1.093
Pr 2.381 5.697 4.326
Pr 2.381 9.394 4.326
Pr 4.975 0.667 2.140
Pr 4.975 4.364 2.140
Pr 6.060 5.697 5.373
Pr 6.060 9.394 5.373
Sm 0.264 2.515 4.208
Sm 3.414 7.546 0.974
Sm 3.943 2.515 5.492
Sm 7.092 7.546 2.259
Rh 0.909 7.546 6.073
Rh 2.770 2.515 2.839
Rh 4.587 7.546 3.627
Rh 6.448 2.515 0.394
```